# Tb2Co3Ge5
Computed X-ray diffraction stick pattern, Cu Kα, 1.54184 Å. Input: DFT lattice parameters and positions (GGA-PBE).
Peak positions follow from Bragg's law for the DFT cell and can differ from measured ones.

Structural model:
abc: 8.0963 8.0963 5.7336
angles: 109.71 109.71 93.47
Sites, in units of the cell vectors:
1 Tb 0.0929 0.3715 0.2328
2 Tb 0.3715 0.0929 0.7328
3 Tb 0.6285 0.9071 0.2672
4 Tb 0.9071 0.6285 0.7672
5 Co 0.0422 0.7608 0.3827
6 Co 0.2392 0.9578 0.1173
7 Co 0.4978 0.5022 0.2500
8 Co 0.5022 0.4978 0.7500
9 Co 0.7608 0.0422 0.8827
10 Co 0.9578 0.2392 0.6173
11 Ge 0.0076 0.9924 0.7500
12 Ge 0.2384 0.4227 0.8281
13 Ge 0.2742 0.7258 0.7500
14 Ge 0.2852 0.7148 0.2500
15 Ge 0.4227 0.2384 0.3281
16 Ge 0.5773 0.7616 0.6719
17 Ge 0.7148 0.2852 0.7500
18 Ge 0.7258 0.2742 0.2500
19 Ge 0.7616 0.5773 0.1719
20 Ge 0.9924 0.0076 0.2500

Principal peaks in the range 2θ from 10° to 90°, sorted by position:
- 2.560 Å, 2θ 35.1, intensity 44
- 2.517 Å, 2θ 35.7, intensity 100
- 2.510 Å, 2θ 35.8, intensity 53
- 2.495 Å, 2θ 36.0, intensity 75
- 2.435 Å, 2θ 36.9, intensity 49
- 2.055 Å, 2θ 44.1, intensity 93